Record 1
The following is a simulated XRD peak list of SrSm3Mn4O12. It was derived from a structure optimized by DFT (GGA+U), using Cu Kα.
Lines closer than 0.1° are merged.

Structural model:
a = 5.4696 Å, b = 7.7412 Å, c = 5.6452 Å
α = 90.00°, β = 90.14°, γ = 90.00°
Space group Pm (No. 6)
Unique sites:
Sr 0.0000 0.0000 0.0000 x1
Sm 0.0218 0.5000 0.0999 x1
Sm 0.4963 0.5000 0.5952 x1
Sm 0.5226 0.0000 0.4844 x1
Mn 0.0063 0.2501 0.5437 x2
Mn 0.5106 0.2505 0.0396 x2
O 0.0997 0.0000 0.5518 x1
O 0.2192 0.3032 0.8328 x2
O 0.2927 0.3003 0.3340 x2
O 0.4442 0.0000 0.0709 x1
O 0.6008 0.5000 0.0121 x1
O 0.7075 0.2106 0.7346 x2
O 0.7917 0.2161 0.2567 x2
O 0.9203 0.5000 0.5197 x1

Peak list (6 most intense, 2θ from 15° to 90°, in order of rising 2θ)
2θ/deg  d (Å)  Rel. int.
25.4  3.503  14.7
31.7  2.823  21.3
32.5  2.757  100.0
32.7  2.735  24.9
46.9  1.935  15.2
58.3  1.583  22.1


Record 2
The following is a simulated XRD peak list of Mn5SnO8. It was derived from a structure optimized by DFT (GGA+U), using Cu Kα.
Lines closer than 0.1° are merged.

Structural model:
a = 8.6743 Å, b = 8.7139 Å, c = 9.1971 Å
α = 90.00°, β = 90.00°, γ = 90.00°
Space group C222_1 (No. 20)
Unique sites:
Mn 0.1209 0.1265 0.3724 x8
Mn 0.1233 0.3700 0.1296 x8
Mn 0.2445 0.5000 0.5000 x4
Sn 0.0000 0.2609 0.7500 x4
O 0.1026 0.3702 0.3685 x8
O 0.1231 0.1438 0.1294 x8
O 0.1315 0.3926 0.8800 x8
O 0.1379 0.1239 0.6272 x8

Peak list (6 most intense, 2θ from 15° to 90°, in order of rising 2θ)
2θ/deg  d (Å)  Rel. int.
28.3  3.159  76.7
32.6  2.743  100.0
34.0  2.639  80.1
34.1  2.630  80.2
58.4  1.581  36.3
58.5  1.578  36.7


Record 3
The following is a simulated XRD peak list of Mn5SnO8. It was derived from a structure optimized by DFT (GGA+U), using Cu Kα.
Lines closer than 0.1° are merged.

Structural model:
a = 6.1673 Å, b = 6.3054 Å, c = 10.7146 Å
α = 88.15°, β = 73.57°, γ = 61.26°
Space group P1 (No. 1)
Unique sites:
Mn 0.0000 0.0000 0.0000 x1
Mn 0.9999 0.4859 0.9992 x1
Mn 0.0027 0.9772 0.5001 x1
Mn 0.0054 0.7303 0.7441 x1
Mn 0.0089 0.4845 0.4997 x1
Mn 0.3796 0.5601 0.1856 x1
Mn 0.3880 0.0422 0.6866 x1
Mn 0.4841 0.0085 0.0028 x1
Mn 0.4909 0.4895 0.5014 x1
Mn 0.9973 0.2422 0.2454 x1
Sn 0.6119 0.4285 0.8108 x1
Sn 0.6117 0.9250 0.3117 x1
O 0.2148 0.6259 0.8770 x1
O 0.2245 0.3824 0.1143 x1
O 0.2260 0.1268 0.3794 x1
O 0.2321 0.8469 0.6338 x1
O 0.2612 0.8956 0.1146 x1
O 0.2639 0.6113 0.3890 x1
O 0.2647 0.1144 0.8889 x1
O 0.2680 0.3767 0.6167 x1
O 0.7333 0.8797 0.1125 x1
O 0.7369 0.1035 0.8814 x1
O 0.7369 0.5995 0.3839 x1
O 0.7416 0.3617 0.6133 x1
O 0.7584 0.1088 0.3730 x1
O 0.7775 0.6051 0.8700 x1
O 0.7801 0.3673 0.1090 x1
O 0.7889 0.8310 0.6283 x1

Peak list (6 most intense, 2θ from 15° to 90°, in order of rising 2θ)
2θ/deg  d (Å)  Rel. int.
28.1  3.172  36.5
28.4  3.147  36.2
32.6  2.743  47.2
33.9  2.646  34.0
34.1  2.631  100.0
58.2  1.586  34.7


Record 4
The following is a simulated XRD peak list of TaMnSnO6. It was derived from a structure optimized by DFT (GGA+U), using Cu Kα.
Lines closer than 0.1° are merged.

Structural model:
a = 5.2707 Å, b = 5.2707 Å, c = 8.9528 Å
α = 90.00°, β = 90.00°, γ = 120.00°
Space group P-31c (No. 163)
Unique sites:
Ta 0.3333 0.6667 0.2500 x2
Mn 0.0000 0.0000 0.0000 x2
Sn 0.3333 0.6667 0.7500 x2
O 0.0125 0.3456 0.1289 x12

Peak list (6 most intense, 2θ from 15° to 90°, in order of rising 2θ)
2θ/deg  d (Å)  Rel. int.
19.8  4.476  54.0
27.9  3.196  100.0
34.0  2.635  65.4
39.7  2.271  60.3
44.6  2.033  27.9
53.7  1.706  60.3


Record 5
The following is a simulated XRD peak list of Ti3Mn3Sn2O16. It was derived from a structure optimized by DFT (GGA+U), using Cu Kα.
Lines closer than 0.1° are merged.

Structural model:
a = 10.2389 Å, b = 5.9085 Å, c = 9.5132 Å
α = 90.00°, β = 91.34°, γ = 90.00°
Space group Cm (No. 8)
Unique sites:
Ti 0.0000 0.0000 0.0000 x2
Ti 0.4186 0.2487 0.5007 x4
Mn 0.1681 0.5000 0.5029 x2
Mn 0.2535 0.2460 0.0031 x4
Sn 0.0120 0.5000 0.2222 x2
Sn 0.1744 0.0000 0.7245 x2
O 0.0068 0.0000 0.6051 x2
O 0.0101 0.5000 0.6082 x2
O 0.0835 0.2818 0.3843 x4
O 0.1019 0.2218 0.8829 x4
O 0.1785 0.0000 0.1066 x2
O 0.1829 0.5000 0.1096 x2
O 0.2609 0.2533 0.6098 x4
O 0.3210 0.0000 0.8896 x2
O 0.3342 0.5000 0.4037 x2
O 0.3339 0.5000 0.9032 x2
O 0.3618 0.0000 0.3785 x2
O 0.4250 0.2561 0.1078 x4

Peak list (6 most intense, 2θ from 15° to 90°, in order of rising 2θ)
2θ/deg  d (Å)  Rel. int.
19.5  4.552  37.5
19.6  4.529  73.4
19.8  4.478  100.0
35.8  2.509  33.0
36.1  2.487  46.6
62.9  1.477  45.3


Record 6
The following is a simulated XRD peak list of Mn2VSnO6. It was derived from a structure optimized by DFT (GGA+U), using Cu Kα.
Lines closer than 0.1° are merged.

Structural model:
a = 5.2534 Å, b = 5.2684 Å, c = 5.6073 Å
α = 62.04°, β = 89.91°, γ = 60.18°
Space group P1 (No. 1)
Unique sites:
Mn 0.0000 0.0000 0.0000 x1
Mn 0.4840 0.0300 0.4541 x1
V 0.2837 0.4322 0.8513 x1
Sn 0.7895 0.4206 0.3710 x1
O 0.0941 0.5026 0.1668 x1
O 0.2030 0.9165 0.6522 x1
O 0.4062 0.9255 0.1705 x1
O 0.5696 0.2273 0.6560 x1
O 0.6673 0.2377 0.1685 x1
O 0.8850 0.5501 0.6526 x1

Peak list (6 most intense, 2θ from 15° to 90°, in order of rising 2θ)
2θ/deg  d (Å)  Rel. int.
23.2  3.827  53.9
32.0  2.799  100.0
32.0  2.793  48.9
34.0  2.636  92.5
34.1  2.627  45.4
52.1  1.754  47.8


Record 7
The following is a simulated XRD peak list of Sr4Mn3O10. It was derived from a structure optimized by DFT (GGA+U), using Cu Kα.
Lines closer than 0.1° are merged.

Structural model:
a = 5.5483 Å, b = 12.5336 Å, c = 12.9023 Å
α = 90.00°, β = 90.00°, γ = 90.00°
Space group Cmce (No. 64)
Unique sites:
Sr 0.0000 0.0298 0.1435 x8
Sr 0.0000 0.2374 0.3847 x8
Mn 0.0000 0.0000 0.5000 x4
Mn 0.0000 0.1317 0.6528 x8
O 0.0000 0.0372 0.3555 x8
O 0.0000 0.2231 0.1581 x8
O 0.2289 0.1100 0.5378 x16
O 0.2500 0.1134 0.7500 x8

Peak list (6 most intense, 2θ from 15° to 90°, in order of rising 2θ)
2θ/deg  d (Å)  Rel. int.
27.6  3.227  60.1
30.1  2.964  100.0
32.3  2.774  63.5
34.0  2.637  61.1
43.0  2.103  52.9
43.6  2.077  31.3


Record 8
The following is a simulated XRD peak list of Sr7Mn7O20. It was derived from a structure optimized by DFT (GGA+U), using Cu Kα.
Lines closer than 0.1° are merged.

Structural model:
a = 8.6776 Å, b = 3.8935 Å, c = 12.4407 Å
α = 90.00°, β = 98.90°, γ = 90.00°
Space group P2/m (No. 10)
Unique sites:
Sr 0.0000 0.0000 0.0000 x1
Sr 0.1398 0.0000 0.7182 x2
Sr 0.2664 0.0000 0.4227 x2
Sr 0.4262 0.0000 0.1386 x2
Mn 0.0000 0.5000 0.5000 x1
Mn 0.1433 0.5000 0.2141 x2
Mn 0.2850 0.5000 0.9300 x2
Mn 0.4256 0.5000 0.6482 x2
O 0.0000 0.0000 0.5000 x1
O 0.0489 0.5000 0.3523 x2
O 0.0673 0.5000 0.8661 x2
O 0.1414 0.0000 0.2170 x2
O 0.2278 0.5000 0.0818 x2
O 0.2277 0.5000 0.5549 x2
O 0.2853 0.0000 0.9301 x2
O 0.3531 0.5000 0.3051 x2
O 0.3542 0.5000 0.7856 x2
O 0.4387 0.0000 0.6225 x2
O 0.5000 0.5000 0.0000 x1

Peak list (6 most intense, 2θ from 15° to 90°, in order of rising 2θ)
2θ/deg  d (Å)  Rel. int.
32.3  2.770  100.0
32.4  2.760  99.1
32.6  2.743  89.1
40.0  2.252  38.4
46.7  1.947  36.6
57.6  1.601  36.4